[1]
Starting from a GGA-PBE-relaxed structure, the XRD peak list of Na2TmWS4 was simulated for CuKα.
Kinematic intensities with the Lorentz-polarization factor, no thermal factor.

Structure:
```
data_Na2TmWS4
_symmetry_space_group_name_H-M 'C 1 2 1'
_symmetry_Int_Tables_number 5
_cell_length_a 9.614
_cell_length_b 8.407
_cell_length_c 6.805
_cell_angle_alpha 90.00
_cell_angle_beta 134.91
_cell_angle_gamma 90.00
loop_
_symmetry_equiv_pos_as_xyz
'x,y,z'
'-x,y,-z'
'x+1/2,y+1/2,z'
'-x+1/2,y+1/2,-z'
loop_
_atom_site_label
_atom_site_type_symbol
_atom_site_fract_x
_atom_site_fract_y
_atom_site_fract_z
Na1 Na 0.000 0.000 0.000
Na2 Na 0.000 0.250 0.500
Tm1 Tm 0.000 0.750 0.500
W1 W 0.000 0.500 0.000
S1 S 0.215 0.605 0.974
S2 S 0.241 0.396 0.455
```

Largest 10 diffraction maxima, in order of rising 2θ, 10 to 90 degrees two-theta:
(1 1 0), 2θ = 16.76°, I = 100; (2 0 0), 2θ = 26.18°, I = 24; (2 2 -1), 2θ = 28.18°, I = 98; (3 1 -1), 2θ = 31.25°, I = 34; (1 3 0), 2θ = 34.61°, I = 13; (0 0 2), 2θ = 37.31°, I = 18; (4 0 -2), 2θ = 37.42°, I = 18; (3 3 -2), 2θ = 43.91°, I = 17; (2 2 1), 2θ = 47.45°, I = 45; (2 4 0), 2θ = 51.07°, I = 27

=====

[2]
Starting from a GGA-PBE-relaxed structure, the XRD peak list of Na4WS4 was simulated for CuKα.
Kinematic intensities with the Lorentz-polarization factor, no thermal factor.

Structure:
```
data_Na4WS4
_symmetry_space_group_name_H-M 'P -4 21 c'
_symmetry_Int_Tables_number 114
_cell_length_a 7.793
_cell_length_b 7.793
_cell_length_c 6.939
_cell_angle_alpha 90.00
_cell_angle_beta 90.00
_cell_angle_gamma 90.00
loop_
_symmetry_equiv_pos_as_xyz
'x,y,z'
'y,-x,-z'
'-x,-y,z'
'-y,x,-z'
'x+1/2,-y+1/2,-z+1/2'
'y+1/2,x+1/2,z+1/2'
'-x+1/2,y+1/2,-z+1/2'
'-y+1/2,-x+1/2,z+1/2'
loop_
_atom_site_label
_atom_site_type_symbol
_atom_site_fract_x
_atom_site_fract_y
_atom_site_fract_z
Na1 Na 0.091 0.302 0.469
W1 W 0.000 0.000 0.000
S1 S 0.089 0.768 0.818
```

Largest 10 diffraction maxima, in order of rising 2θ, 10 to 90 degrees two-theta:
(1 1 0), 2θ = 16.08°, I = 47; (1 0 1), 2θ = 17.11°, I = 100; (2 1 1), 2θ = 28.66°, I = 75; (1 1 2), 2θ = 30.45°, I = 17; (2 0 2), 2θ = 34.62°, I = 18; (3 1 0), 2θ = 36.49°, I = 28; (3 2 1), 2θ = 43.87°, I = 15; (3 1 2), 2θ = 45.13°, I = 26; (2 1 3), 2θ = 47.16°, I = 30; (5 0 1), 2θ = 60.92°, I = 17

=====

[3]
Starting from a GGA-PBE-relaxed structure, the XRD peak list of Na2WS4 was simulated for CuKα.
Kinematic intensities with the Lorentz-polarization factor, no thermal factor.

Structure:
```
data_Na2WS4
_symmetry_space_group_name_H-M 'P n m a'
_symmetry_Int_Tables_number 62
_cell_length_a 8.564
_cell_length_b 6.889
_cell_length_c 11.924
_cell_angle_alpha 90.00
_cell_angle_beta 90.00
_cell_angle_gamma 90.00
loop_
_symmetry_equiv_pos_as_xyz
'x,y,z'
'-x,-y,-z'
'-x+1/2,-y,z+1/2'
'x+1/2,y,-z+1/2'
'x+1/2,-y+1/2,-z+1/2'
'-x+1/2,y+1/2,z+1/2'
'-x,y+1/2,-z'
'x,-y+1/2,z'
loop_
_atom_site_label
_atom_site_type_symbol
_atom_site_fract_x
_atom_site_fract_y
_atom_site_fract_z
Na1 Na 0.067 0.250 0.155
Na2 Na 0.138 0.750 0.396
W1 W 0.231 0.750 0.052
S1 S 0.017 0.250 0.898
S2 S 0.149 0.506 0.621
S3 S 0.240 0.250 0.368
```

Largest 10 diffraction maxima, in order of rising 2θ, 10 to 90 degrees two-theta:
(0 0 2), 2θ = 14.86°, I = 30; (1 1 1), 2θ = 18.13°, I = 100; (2 0 0), 2θ = 20.74°, I = 18; (2 0 2), 2θ = 25.61°, I = 12; (0 2 0), 2θ = 25.87°, I = 35; (0 2 2), 2θ = 29.96°, I = 12; (2 2 0), 2θ = 33.39°, I = 13; (3 1 1), 2θ = 34.84°, I = 27; (1 3 1), 2θ = 41.42°, I = 19; (3 3 1), 2θ = 51.66°, I = 16

=====

[4]
Starting from a GGA-PBE-relaxed structure, the XRD peak list of NaTbSbTe3 was simulated for CuKα.
Kinematic intensities with the Lorentz-polarization factor, no thermal factor.

Structure:
```
data_NaTbSbTe3
_symmetry_space_group_name_H-M 'C m c m'
_symmetry_Int_Tables_number 63
_symmetry_space_group_name_Hall '-C 2c 2'
_cell_length_a 4.362
_cell_length_b 15.651
_cell_length_c 11.010
_cell_angle_alpha 90.00
_cell_angle_beta 90.00
_cell_angle_gamma 90.00
loop_
_atom_site_label
_atom_site_type_symbol
_atom_site_fract_x
_atom_site_fract_y
_atom_site_fract_z
Na1 Na 0.000 0.223 0.250
Tb1 Tb 0.000 0.000 0.000
Sb1 Sb 0.000 0.473 0.750
Te1 Te 0.000 0.122 0.750
Te2 Te 0.000 0.358 0.539
```

Largest 10 diffraction maxima, in order of rising 2θ, 10 to 90 degrees two-theta:
(0 2 0), 2θ = 11.31°, I = 34; (1 1 1), 2θ = 22.66°, I = 13; (0 2 3), 2θ = 26.83°, I = 14; (1 3 1), 2θ = 27.86°, I = 17; (1 3 2), 2θ = 31.28°, I = 100; (0 0 4), 2θ = 32.53°, I = 23; (1 5 2), 2θ = 39.01°, I = 24; (2 0 0), 2θ = 41.40°, I = 17; (0 6 3), 2θ = 42.52°, I = 11; (2 0 4), 2θ = 53.61°, I = 11

=====

[5]
Starting from a GGA-PBE-relaxed structure, the XRD peak list of Na3Th3Sb2 was simulated for CuKα.
Kinematic intensities with the Lorentz-polarization factor, no thermal factor.

Structure:
```
data_Na3Th3Sb2
_symmetry_space_group_name_H-M 'R -3 m'
_symmetry_Int_Tables_number 166
_symmetry_space_group_name_Hall '-R 3 2"'
_cell_length_a 6.4973
_cell_length_b 6.4973
_cell_length_c 23.5481
_cell_angle_alpha 90.00
_cell_angle_beta 90.00
_cell_angle_gamma 120.00
loop_
_atom_site_label
_atom_site_type_symbol
_atom_site_fract_x
_atom_site_fract_y
_atom_site_fract_z
Na1 Na 0.0000 0.0000 0.0000
Na2 Na 0.0000 0.0000 0.4087
Th1 Th 0.0000 0.5000 0.5000
Sb1 Sb 0.0000 0.0000 0.2773
```

Largest 10 diffraction maxima, in order of rising 2θ, 10 to 90 degrees two-theta:
(0 0 3), 2θ = 11.27°, I = 100; (0 1 2), 2θ = 17.47°, I = 74; (1 1 3), 2θ = 29.76°, I = 35; (1 0 7), 2θ = 30.97°, I = 29; (0 2 1), 2θ = 32.04°, I = 54; (2 0 2), 2θ = 32.73°, I = 23; (0 0 9), 2θ = 34.27°, I = 24; (0 2 4), 2θ = 35.36°, I = 57; (2 0 5), 2θ = 37.23°, I = 42; (2 0 8), 2θ = 44.55°, I = 23

=====

[6]
Starting from a GGA-PBE-relaxed structure, the XRD peak list of Na4Zn9Sb9 was simulated for CuKα.
Kinematic intensities with the Lorentz-polarization factor, no thermal factor.

Structure:
```
data_Na4Zn9Sb9
_symmetry_space_group_name_H-M 'C 1 2/m 1'
_symmetry_Int_Tables_number 12
_cell_length_a 28.697
_cell_length_b 4.475
_cell_length_c 17.305
_cell_angle_alpha 90.00
_cell_angle_beta 98.29
_cell_angle_gamma 90.00
loop_
_symmetry_equiv_pos_as_xyz
'x,y,z'
'-x,-y,-z'
'-x,y,-z'
'x,-y,z'
'x+1/2,y+1/2,z'
'-x+1/2,-y+1/2,-z'
'-x+1/2,y+1/2,-z'
'x+1/2,-y+1/2,z'
loop_
_atom_site_label
_atom_site_type_symbol
_atom_site_fract_x
_atom_site_fract_y
_atom_site_fract_z
Na1 Na 0.014 0.000 0.253
Na2 Na 0.135 0.500 0.520
Na3 Na 0.138 0.500 0.059
Na4 Na 0.157 0.500 0.786
Zn1 Zn 0.038 0.500 0.132
Zn2 Zn 0.040 0.500 0.386
Zn3 Zn 0.090 0.000 0.918
Zn4 Zn 0.091 0.000 0.628
Zn5 Zn 0.141 0.000 0.277
Zn6 Zn 0.242 0.000 0.807
Zn7 Zn 0.242 0.500 0.945
Zn8 Zn 0.244 0.500 0.440
Zn9 Zn 0.247 0.500 0.678
Sb1 Sb 0.046 0.000 0.046
Sb2 Sb 0.046 0.000 0.477
Sb3 Sb 0.054 0.500 0.679
Sb4 Sb 0.055 0.500 0.848
Sb5 Sb 0.094 0.500 0.271
Sb6 Sb 0.186 0.000 0.929
Sb7 Sb 0.188 0.000 0.660
Sb8 Sb 0.189 0.000 0.426
Sb9 Sb 0.203 0.000 0.171
```

Largest 10 diffraction maxima, in order of rising 2θ, 10 to 90 degrees two-theta:
(4 0 0), 2θ = 12.47°, I = 33; (3 1 0), 2θ = 21.97°, I = 53; (1 1 -2), 2θ = 22.43°, I = 37; (5 1 0), 2θ = 25.34°, I = 37; (2 0 5), 2θ = 27.64°, I = 35; (3 1 4), 2θ = 31.34°, I = 37; (5 1 -4), 2θ = 31.47°, I = 46; (0 2 0), 2θ = 40.31°, I = 100; (9 1 4), 2θ = 43.03°, I = 63; (11 1 -4), 2θ = 43.24°, I = 63

=====

[7]
Starting from a GGA-PBE-relaxed structure, the XRD peak list of NaZn4Sb3 was simulated for CuKα.
Kinematic intensities with the Lorentz-polarization factor, no thermal factor.

Structure:
```
data_NaZn4Sb3
_symmetry_space_group_name_H-M 'P 63/m m c'
_symmetry_Int_Tables_number 194
_symmetry_space_group_name_Hall '-P 6c 2c'
_cell_length_a 4.4636
_cell_length_b 4.4636
_cell_length_c 23.3586
_cell_angle_alpha 90.00
_cell_angle_beta 90.00
_cell_angle_gamma 120.00
loop_
_atom_site_label
_atom_site_type_symbol
_atom_site_fract_x
_atom_site_fract_y
_atom_site_fract_z
Na1 Na 0.0000 0.0000 0.0000
Zn1 Zn 0.3333 0.6667 0.1158
Zn2 Zn 0.3333 0.6667 0.6965
Sb1 Sb 0.3333 0.6667 0.2500
Sb2 Sb 0.3333 0.6667 0.5846
```

Largest 10 diffraction maxima, in order of rising 2θ, 10 to 90 degrees two-theta:
(0 0 6), 2θ = 22.84°, I = 35; (1 0 0), 2θ = 23.01°, I = 88; (1 0 3), 2θ = 25.73°, I = 32; (1 0 6), 2θ = 32.64°, I = 32; (1 0 7), 2θ = 35.54°, I = 24; (1 1 0), 2θ = 40.42°, I = 100; (1 0 9), 2θ = 41.93°, I = 87; (1 1 6), 2θ = 46.95°, I = 43; (2 0 9), 2θ = 59.64°, I = 30; (2 1 9), 2θ = 74.53°, I = 30

=====

[8]
Starting from a GGA-PBE-relaxed structure, the XRD peak list of Na2TmSnSe4 was simulated for CuKα.
Kinematic intensities with the Lorentz-polarization factor, no thermal factor.

Structure:
```
data_Na2TmSnSe4
_symmetry_space_group_name_H-M 'C 1 2 1'
_symmetry_Int_Tables_number 5
_cell_length_a 9.978
_cell_length_b 10.195
_cell_length_c 7.060
_cell_angle_alpha 90.00
_cell_angle_beta 134.91
_cell_angle_gamma 90.00
loop_
_symmetry_equiv_pos_as_xyz
'x,y,z'
'-x,y,-z'
'x+1/2,y+1/2,z'
'-x+1/2,y+1/2,-z'
loop_
_atom_site_label
_atom_site_type_symbol
_atom_site_fract_x
_atom_site_fract_y
_atom_site_fract_z
Na1 Na 0.000 0.000 0.000
Na2 Na 0.000 0.249 0.500
Tm1 Tm 0.000 0.750 0.500
Sn1 Sn 0.000 0.499 0.000
Se1 Se 0.226 0.628 0.977
Se2 Se 0.249 0.371 0.475
```

Largest 10 diffraction maxima, in order of rising 2θ, 10 to 90 degrees two-theta:
(1 1 0), 2θ = 15.26°, I = 55; (2 2 -1), 2θ = 24.96°, I = 100; (3 1 -1), 2θ = 29.61°, I = 15; (0 0 2), 2θ = 35.96°, I = 37; (3 3 -2), 2θ = 38.93°, I = 12; (2 4 0), 2θ = 43.80°, I = 43; (2 2 -3), 2θ = 44.27°, I = 41; (4 0 -4), 2θ = 51.77°, I = 12; (4 6 -3), 2θ = 69.51°, I = 11; (2 4 -4), 2θ = 70.07°, I = 15

=====

[9]
Starting from a GGA-PBE-relaxed structure, the XRD peak list of NaTmSnSe3 was simulated for CuKα.
Kinematic intensities with the Lorentz-polarization factor, no thermal factor.

Structure:
```
data_NaTmSnSe3
_symmetry_space_group_name_H-M 'P n m a'
_symmetry_Int_Tables_number 62
_cell_length_a 13.953
_cell_length_b 4.083
_cell_length_c 12.129
_cell_angle_alpha 90.00
_cell_angle_beta 90.00
_cell_angle_gamma 90.00
loop_
_symmetry_equiv_pos_as_xyz
'x,y,z'
'-x,-y,-z'
'-x+1/2,-y,z+1/2'
'x+1/2,y,-z+1/2'
'x+1/2,-y+1/2,-z+1/2'
'-x+1/2,y+1/2,z+1/2'
'-x,y+1/2,-z'
'x,-y+1/2,z'
loop_
_atom_site_label
_atom_site_type_symbol
_atom_site_fract_x
_atom_site_fract_y
_atom_site_fract_z
Na1 Na 0.233 0.250 0.114
Tm1 Tm 0.003 0.750 0.645
Sn1 Sn 0.051 0.250 0.911
Se1 Se 0.097 0.750 0.231
Se2 Se 0.113 0.250 0.544
Se3 Se 0.148 0.750 0.813
```

Largest 10 diffraction maxima, in order of rising 2θ, 10 to 90 degrees two-theta:
(2 0 0), 2θ = 12.69°, I = 100; (2 0 3), 2θ = 25.46°, I = 18; (1 1 2), 2θ = 27.09°, I = 48; (3 0 3), 2θ = 29.30°, I = 73; (3 1 2), 2θ = 32.71°, I = 60; (4 0 4), 2θ = 39.37°, I = 15; (0 1 5), 2θ = 43.39°, I = 23; (0 2 0), 2θ = 44.37°, I = 21; (2 1 5), 2θ = 45.38°, I = 14; (6 1 1), 2θ = 45.50°, I = 22

=====

[10]
Starting from a GGA-PBE-relaxed structure, the XRD peak list of Na3TaTe2Se2 was simulated for CuKα.
Kinematic intensities with the Lorentz-polarization factor, no thermal factor.

Structure:
```
data_Na3TaTe2Se2
_symmetry_space_group_name_H-M 'C m m 2'
_symmetry_Int_Tables_number 35
_cell_length_a 10.028
_cell_length_b 10.238
_cell_length_c 7.176
_cell_angle_alpha 90.00
_cell_angle_beta 90.00
_cell_angle_gamma 90.00
loop_
_symmetry_equiv_pos_as_xyz
'x,y,z'
'-x,-y,z'
'-x,y,z'
'x,-y,z'
'x+1/2,y+1/2,z'
'-x+1/2,-y+1/2,z'
'-x+1/2,y+1/2,z'
'x+1/2,-y+1/2,z'
loop_
_atom_site_label
_atom_site_type_symbol
_atom_site_fract_x
_atom_site_fract_y
_atom_site_fract_z
Na1 Na 0.000 0.000 0.000
Na2 Na 0.250 0.250 0.530
Ta1 Ta 0.000 0.000 0.508
Te1 Te 0.217 0.000 0.298
Se1 Se 0.000 0.192 0.705
```

Largest 10 diffraction maxima, in order of rising 2θ, 10 to 90 degrees two-theta:
(0 0 1), 2θ = 12.35°, I = 100; (0 2 0), 2θ = 17.32°, I = 12; (1 1 1), 2θ = 17.49°, I = 21; (0 2 1), 2θ = 21.32°, I = 28; (2 0 1), 2θ = 21.62°, I = 27; (1 3 1), 2θ = 30.37°, I = 11; (3 1 1), 2θ = 30.77°, I = 9; (2 2 2), 2θ = 35.41°, I = 32; (2 2 3), 2θ = 45.62°, I = 21; (2 4 2), 2θ = 47.25°, I = 9

=====

[11]
Starting from a GGA-PBE-relaxed structure, the XRD peak list of NaTb3Se4 was simulated for CuKα.
Kinematic intensities with the Lorentz-polarization factor, no thermal factor.

Structure:
```
data_NaTb3Se4
_symmetry_space_group_name_H-M 'C m m m'
_symmetry_Int_Tables_number 65
_symmetry_space_group_name_Hall '-C 2 2'
_cell_length_a 8.283
_cell_length_b 11.620
_cell_length_c 4.085
_cell_angle_alpha 90.00
_cell_angle_beta 90.00
_cell_angle_gamma 90.00
loop_
_atom_site_label
_atom_site_type_symbol
_atom_site_fract_x
_atom_site_fract_y
_atom_site_fract_z
Na1 Na 0.000 0.000 0.000
Tb1 Tb 0.000 0.500 0.000
Tb2 Tb 0.250 0.250 0.500
Se1 Se 0.000 0.250 0.000
Se2 Se 0.247 0.500 0.500
```

Largest 10 diffraction maxima, in order of rising 2θ, 10 to 90 degrees two-theta:
(1 1 0), 2θ = 13.13°, I = 14; (2 0 1), 2θ = 30.75°, I = 100; (4 0 0), 2θ = 43.71°, I = 13; (2 4 1), 2θ = 44.06°, I = 49; (0 0 2), 2θ = 44.35°, I = 12; (4 4 0), 2θ = 54.41°, I = 13; (0 4 2), 2θ = 54.95°, I = 13; (4 0 2), 2θ = 64.06°, I = 12; (4 4 2), 2θ = 72.75°, I = 22; (6 4 1), 2θ = 80.55°, I = 8

=====

[12]
Starting from a GGA-PBE-relaxed structure, the XRD peak list of NaSmTmTe3 was simulated for CuKα.
Kinematic intensities with the Lorentz-polarization factor, no thermal factor.

Structure:
```
data_NaSmTmTe3
_symmetry_space_group_name_H-M 'C m c m'
_symmetry_Int_Tables_number 63
_symmetry_space_group_name_Hall '-C 2c 2'
_cell_length_a 4.498
_cell_length_b 15.218
_cell_length_c 12.098
_cell_angle_alpha 90.00
_cell_angle_beta 90.00
_cell_angle_gamma 90.00
loop_
_atom_site_label
_atom_site_type_symbol
_atom_site_fract_x
_atom_site_fract_y
_atom_site_fract_z
Na1 Na 0.000 0.246 0.250
Sm1 Sm 0.000 0.500 0.000
Tm1 Tm 0.000 0.037 0.750
Te1 Te 0.000 0.143 0.555
Te2 Te 0.000 0.413 0.750
```

Largest 10 diffraction maxima, in order of rising 2θ, 10 to 90 degrees two-theta:
(0 2 0), 2θ = 11.63°, I = 81; (1 1 1), 2θ = 21.88°, I = 22; (0 2 3), 2θ = 24.99°, I = 23; (1 3 1), 2θ = 27.51°, I = 51; (0 0 4), 2θ = 29.53°, I = 33; (1 3 2), 2θ = 30.39°, I = 100; (0 2 4), 2θ = 31.84°, I = 21; (1 5 2), 2θ = 38.70°, I = 33; (2 0 0), 2θ = 40.10°, I = 28; (1 5 3), 2θ = 42.28°, I = 28